Entry 1:
The following is a theoretical powder XRD pattern of Ac2Sn8Rh. It was derived from a PBE-relaxed structure, using Cu Kα (weighted mean of Kα1 and Kα2).

Principal peaks in the range 5 to 70 degrees two-theta, in order of rising 2θ:
d = 4.849 Å, rel. 13
d = 3.025 Å, rel. 46
d = 2.677 Å, rel. 100
d = 2.570 Å, rel. 22
d = 2.425 Å, rel. 58
d = 1.764 Å, rel. 30
d = 1.715 Å, rel. 21
d = 1.455 Å, rel. 16
d = 1.444 Å, rel. 31
d = 1.426 Å, rel. 16

```
Ac2Sn8Rh
1.0
4.849 0.000 0.000
0.000 4.849 0.000
0.000 0.000 12.851
Ac Sn Rh
2 8 1
Direct
0.000 0.000 0.192
0.000 0.000 0.808
0.000 0.500 0.000
0.000 0.500 0.383
0.000 0.500 0.617
0.500 0.000 0.000
0.500 0.000 0.383
0.500 0.000 0.617
0.500 0.500 0.199
0.500 0.500 0.801
0.000 0.000 0.500
```

=====

Entry 2:
The following is a theoretical powder XRD pattern of Ac6SnRh4. It was derived from a PBE-relaxed structure, using Cu Kα (weighted mean of Kα1 and Kα2).

Principal peaks in the range 5 to 70 degrees two-theta, in order of rising 2θ:
d = 3.330 Å, rel. 38
d = 3.282 Å, rel. 93
d = 3.198 Å, rel. 55
d = 3.102 Å, rel. 100
d = 2.960 Å, rel. 53
d = 2.208 Å, rel. 57
d = 2.179 Å, rel. 41
d = 2.116 Å, rel. 75
d = 1.815 Å, rel. 40
d = 1.367 Å, rel. 21

```
Ac6SnRh4
1.0
2.179 -7.226 0.000
2.179 7.226 0.000
0.000 0.000 22.105
Ac Sn Rh
12 2 8
Direct
0.000 0.000 0.000
0.000 0.000 0.500
0.161 0.839 0.750
0.267 0.733 0.085
0.267 0.733 0.415
0.460 0.540 0.654
0.460 0.540 0.846
0.540 0.460 0.154
0.540 0.460 0.346
0.733 0.267 0.585
0.733 0.267 0.915
0.839 0.161 0.250
0.161 0.839 0.250
0.839 0.161 0.750
0.100 0.900 0.627
0.100 0.900 0.873
0.363 0.637 0.542
0.363 0.637 0.958
0.637 0.363 0.042
0.637 0.363 0.458
0.900 0.100 0.127
0.900 0.100 0.373
```

=====

Entry 3:
The following is a theoretical powder XRD pattern of Ac3SnRh2. It was derived from a PBE-relaxed structure, using Cu Kα (weighted mean of Kα1 and Kα2).

Principal peaks in the range 5 to 70 degrees two-theta, in order of rising 2θ:
d = 3.467 Å, rel. 100
d = 2.791 Å, rel. 8
d = 2.494 Å, rel. 58
d = 2.411 Å, rel. 53
d = 2.024 Å, rel. 17
d = 1.768 Å, rel. 15
d = 1.733 Å, rel. 18
d = 1.572 Å, rel. 13
d = 1.440 Å, rel. 8
d = 1.423 Å, rel. 15

```
Ac3SnRh2
1.0
4.319 2.494 5.813
-4.319 2.494 5.813
0.000 -4.987 5.813
Ac Sn Rh
6 2 4
Direct
0.051 0.750 0.449
0.250 0.551 0.949
0.449 0.051 0.750
0.551 0.949 0.250
0.750 0.449 0.051
0.949 0.250 0.551
0.000 0.000 0.000
0.500 0.500 0.500
0.163 0.163 0.163
0.337 0.337 0.337
0.663 0.663 0.663
0.837 0.837 0.837
```

=====

Entry 4:
The following is a theoretical powder XRD pattern of Ac2Sn4Rh3. It was derived from a PBE-relaxed structure, using Cu Kα (weighted mean of Kα1 and Kα2).

Principal peaks in the range 5 to 70 degrees two-theta, in order of rising 2θ:
d = 3.429 Å, rel. 27
d = 2.982 Å, rel. 33
d = 2.945 Å, rel. 44
d = 2.592 Å, rel. 17
d = 2.517 Å, rel. 100
d = 2.425 Å, rel. 40
d = 2.250 Å, rel. 38
d = 1.715 Å, rel. 17
d = 1.617 Å, rel. 27
d = 1.508 Å, rel. 20

```
Ac2Sn4Rh3
1.0
0.000 5.243 6.859
2.982 0.000 6.859
2.982 5.243 0.000
Ac Sn Rh
2 4 3
Direct
0.126 0.126 0.874
0.874 0.874 0.126
0.178 0.515 0.485
0.485 0.822 0.178
0.515 0.178 0.822
0.822 0.485 0.515
0.000 0.000 0.500
0.500 0.500 0.000
0.500 0.500 0.500
```

=====

Entry 5:
The following is a theoretical powder XRD pattern of Ac3Sn4Rh4. It was derived from a PBE-relaxed structure, using Cu Kα (weighted mean of Kα1 and Kα2).

Principal peaks in the range 5 to 70 degrees two-theta, in order of rising 2θ:
d = 2.881 Å, rel. 100
d = 2.847 Å, rel. 37
d = 2.688 Å, rel. 76
d = 2.539 Å, rel. 17
d = 2.363 Å, rel. 27
d = 2.156 Å, rel. 30
d = 1.719 Å, rel. 25
d = 1.593 Å, rel. 16
d = 1.467 Å, rel. 16
d = 1.397 Å, rel. 17

```
Ac3Sn4Rh4
1.0
-2.156 4.004 7.615
2.156 -4.004 7.615
2.156 4.004 -7.615
Ac Sn Rh
3 4 4
Direct
0.000 0.000 0.000
0.383 0.883 0.500
0.617 0.117 0.500
0.022 0.326 0.696
0.371 0.674 0.696
0.629 0.326 0.304
0.978 0.674 0.304
0.221 0.221 0.000
0.285 0.500 0.785
0.715 0.500 0.215
0.779 0.779 0.000
```

=====

Entry 6:
The following is a theoretical powder XRD pattern of Ac4SnRh. It was derived from a PBE-relaxed structure, using Cu Kα (weighted mean of Kα1 and Kα2).

Principal peaks in the range 5 to 70 degrees two-theta, in order of rising 2θ:
d = 3.249 Å, rel. 85
d = 3.186 Å, rel. 89
d = 3.146 Å, rel. 98
d = 2.927 Å, rel. 100
d = 2.847 Å, rel. 51
d = 2.776 Å, rel. 39
d = 2.764 Å, rel. 59
d = 2.701 Å, rel. 94
d = 2.056 Å, rel. 34
d = 1.989 Å, rel. 37

```
Ac4SnRh
1.0
4.826 -7.549 0.000
4.826 7.549 0.000
-3.116 0.000 5.945
Ac Sn Rh
8 2 2
Direct
0.067 0.699 0.922
0.209 0.339 0.673
0.301 0.933 0.578
0.339 0.209 0.173
0.661 0.791 0.827
0.699 0.067 0.422
0.791 0.661 0.327
0.933 0.301 0.078
0.377 0.623 0.250
0.623 0.377 0.750
0.004 0.996 0.750
0.996 0.004 0.250
```

=====

Entry 7:
The following is a theoretical powder XRD pattern of AcSn8Rh2. It was derived from a PBE-relaxed structure, using Cu Kα (weighted mean of Kα1 and Kα2).

Principal peaks in the range 5 to 70 degrees two-theta, in order of rising 2θ:
d = 8.228 Å, rel. 42
d = 5.084 Å, rel. 22
d = 3.997 Å, rel. 47
d = 3.233 Å, rel. 21
d = 2.542 Å, rel. 100
d = 2.286 Å, rel. 57
d = 2.092 Å, rel. 35
d = 1.756 Å, rel. 22
d = 1.616 Å, rel. 20
d = 1.364 Å, rel. 30

```
AcSn8Rh2
1.0
6.466 0.000 0.000
0.000 6.466 0.000
0.000 0.000 8.228
Ac Sn Rh
1 8 2
Direct
0.000 0.000 0.000
0.253 0.253 0.311
0.253 0.253 0.689
0.253 0.747 0.311
0.253 0.747 0.689
0.747 0.253 0.311
0.747 0.253 0.689
0.747 0.747 0.311
0.747 0.747 0.689
0.000 0.500 0.500
0.500 0.000 0.500
```

=====

Entry 8:
The following is a theoretical powder XRD pattern of AcSn4Rh. It was derived from a PBE-relaxed structure, using Cu Kα (weighted mean of Kα1 and Kα2).

Principal peaks in the range 5 to 70 degrees two-theta, in order of rising 2θ:
d = 2.892 Å, rel. 57
d = 2.861 Å, rel. 21
d = 2.850 Å, rel. 37
d = 2.817 Å, rel. 100
d = 2.687 Å, rel. 23
d = 2.589 Å, rel. 18
d = 2.357 Å, rel. 23
d = 2.300 Å, rel. 40
d = 1.791 Å, rel. 31
d = 1.425 Å, rel. 17

```
AcSn4Rh
1.0
2.300 -9.298 0.000
2.300 9.298 0.000
0.000 0.000 7.259
Ac Sn Rh
2 8 2
Direct
0.116 0.884 0.750
0.884 0.116 0.250
0.069 0.931 0.250
0.308 0.692 0.538
0.308 0.692 0.962
0.500 0.500 0.000
0.500 0.500 0.500
0.692 0.308 0.038
0.692 0.308 0.462
0.931 0.069 0.750
0.210 0.790 0.250
0.790 0.210 0.750
```

=====

Entry 9:
The following is a theoretical powder XRD pattern of Ac3Sn2Rh3. It was derived from a PBE-relaxed structure, using Cu Kα (weighted mean of Kα1 and Kα2).

Principal peaks in the range 5 to 70 degrees two-theta, in order of rising 2θ:
d = 3.076 Å, rel. 22
d = 3.052 Å, rel. 24
d = 2.990 Å, rel. 70
d = 2.790 Å, rel. 100
d = 2.699 Å, rel. 26
d = 2.602 Å, rel. 72
d = 2.490 Å, rel. 23
d = 2.226 Å, rel. 46
d = 1.766 Å, rel. 25
d = 1.384 Å, rel. 20

```
Ac3Sn2Rh3
1.0
2.226 -6.287 0.000
2.226 6.287 0.000
0.000 0.000 14.941
Ac Sn Rh
6 4 6
Direct
0.068 0.932 0.613
0.068 0.932 0.887
0.344 0.656 0.750
0.656 0.344 0.250
0.932 0.068 0.113
0.932 0.068 0.387
0.222 0.778 0.080
0.222 0.778 0.420
0.778 0.222 0.580
0.778 0.222 0.920
0.316 0.684 0.250
0.395 0.605 0.539
0.395 0.605 0.961
0.605 0.395 0.039
0.605 0.395 0.461
0.684 0.316 0.750
```

=====

Entry 10:
The following is a theoretical powder XRD pattern of Ac4SnRh2. It was derived from a PBE-relaxed structure, using Cu Kα (weighted mean of Kα1 and Kα2).

Principal peaks in the range 5 to 70 degrees two-theta, in order of rising 2θ:
d = 3.541 Å, rel. 38
d = 3.357 Å, rel. 50
d = 3.320 Å, rel. 71
d = 3.017 Å, rel. 99
d = 2.975 Å, rel. 82
d = 2.924 Å, rel. 100
d = 2.782 Å, rel. 45
d = 2.714 Å, rel. 80
d = 2.380 Å, rel. 35
d = 2.217 Å, rel. 31

```
Ac4SnRh2
1.0
4.605 -8.152 0.000
4.605 8.152 0.000
-4.600 0.000 5.919
Ac Sn Rh
8 2 4
Direct
0.031 0.969 0.500
0.277 0.816 0.808
0.431 0.503 0.646
0.503 0.431 0.146
0.527 0.876 0.443
0.816 0.277 0.308
0.876 0.527 0.943
0.969 0.031 0.000
0.106 0.377 0.841
0.377 0.106 0.341
0.167 0.480 0.272
0.480 0.167 0.772
0.660 0.841 0.109
0.841 0.660 0.609
```

=====

Entry 11:
The following is a theoretical powder XRD pattern of SrAcSnRh. It was derived from a PBE-relaxed structure, using Cu Kα (weighted mean of Kα1 and Kα2).

Principal peaks in the range 5 to 70 degrees two-theta, in order of rising 2θ:
d = 6.291 Å, rel. 31
d = 3.148 Å, rel. 74
d = 3.003 Å, rel. 95
d = 2.489 Å, rel. 100
d = 2.385 Å, rel. 30
d = 2.031 Å, rel. 19
d = 1.722 Å, rel. 18
d = 1.707 Å, rel. 26
d = 1.682 Å, rel. 17
d = 1.546 Å, rel. 16

```
SrAcSnRh
1.0
4.062 0.000 0.000
0.000 2.385 6.291
0.000 -2.385 6.291
Sr Ac Sn Rh
1 1 1 1
Direct
0.000 0.000 0.000
0.500 0.288 0.288
0.500 0.592 0.592
0.000 0.739 0.739
```

=====

Entry 12:
The following is a theoretical powder XRD pattern of Ac2Zn2SnRh5. It was derived from a PBE-relaxed structure, using Cu Kα (weighted mean of Kα1 and Kα2).

Principal peaks in the range 5 to 70 degrees two-theta, in order of rising 2θ:
d = 2.868 Å, rel. 44
d = 2.574 Å, rel. 30
d = 2.450 Å, rel. 62
d = 2.421 Å, rel. 100
d = 2.381 Å, rel. 22
d = 2.259 Å, rel. 15
d = 2.236 Å, rel. 31
d = 1.856 Å, rel. 23
d = 1.479 Å, rel. 26
d = 1.452 Å, rel. 14

```
Ac2Zn2SnRh5
1.0
10.103 0.000 0.000
0.000 10.103 0.000
0.000 0.000 3.712
Ac Zn Sn Rh
4 4 2 10
Direct
0.177 0.323 0.000
0.323 0.823 0.000
0.677 0.177 0.000
0.823 0.677 0.000
0.121 0.621 0.000
0.379 0.121 0.000
0.621 0.879 0.000
0.879 0.379 0.000
0.000 0.000 0.000
0.500 0.500 0.000
0.000 0.500 0.500
0.064 0.793 0.500
0.207 0.064 0.500
0.293 0.564 0.500
0.436 0.293 0.500
0.500 0.000 0.500
0.564 0.707 0.500
0.707 0.436 0.500
0.793 0.936 0.500
0.936 0.207 0.500
```